For Cs2TlBiCl6, a cell relaxed with PBE gives the theoretical powder XRD pattern in this record (Cu Kα (λ = 1.5418 Å)).
Lines closer than 0.1° are merged.

Atomic structure:
Cell lengths 11.5821, 11.5821, 11.5821 Å; angles 90.00, 90.00, 90.00 degrees
Space group Fm-3m (No. 225)
Unique sites:
Cs  0.2500  0.2500  0.2500 (multiplicity 8)
Tl  0.0000  0.0000  0.0000 (multiplicity 4)
Bi  0.0000  0.0000  0.5000 (multiplicity 4)
Cl  0.0000  0.0000  0.2649 (multiplicity 24)

The 12 most intense peaks (2θ = 10–90°), sorted by position:
- hkl 2 0 0, d = 5.791 Å, rel. 15
- hkl 2 2 0, d = 4.095 Å, rel. 100
- hkl 4 0 0, d = 2.896 Å, rel. 46
- hkl 4 2 2, d = 2.364 Å, rel. 48
- hkl 4 4 0, d = 2.047 Å, rel. 33
- hkl 6 2 0, d = 1.831 Å, rel. 24
- hkl 4 4 4, d = 1.672 Å, rel. 11
- hkl 6 4 2, d = 1.548 Å, rel. 28
- hkl 6 6 0, d = 1.365 Å, rel. 13
- hkl 8 4 0, d = 1.295 Å, rel. 14
- hkl 8 4 4, d = 1.182 Å, rel. 11
- hkl 10 2 0, d = 1.136 Å, rel. 16

For K2CuBiCl6, a cell relaxed with PBE gives the theoretical powder XRD pattern in this record (Cu Kα (λ = 1.5418 Å)).
Lines closer than 0.1° are merged.

Atomic structure:
Cell lengths 10.4662, 10.4662, 10.4662 Å; angles 90.00, 90.00, 90.00 degrees
Space group Fm-3m (No. 225)
Unique sites:
K  0.2500  0.2500  0.2500 (multiplicity 8)
Cu  0.0000  0.0000  0.0000 (multiplicity 4)
Bi  0.0000  0.0000  0.5000 (multiplicity 4)
Cl  0.0000  0.0000  0.2394 (multiplicity 24)

The 12 most intense peaks (2θ = 10–90°), sorted by position:
- hkl 1 1 1, d = 6.043 Å, rel. 35
- hkl 2 0 0, d = 5.233 Å, rel. 99
- hkl 2 2 0, d = 3.700 Å, rel. 100
- hkl 3 1 1, d = 3.156 Å, rel. 32
- hkl 4 0 0, d = 2.617 Å, rel. 81
- hkl 4 2 0, d = 2.340 Å, rel. 51
- hkl 4 2 2, d = 2.136 Å, rel. 46
- hkl 4 4 0, d = 1.850 Å, rel. 54
- hkl 6 0 0, d = 1.744 Å, rel. 26
- hkl 6 2 0, d = 1.655 Å, rel. 22
- hkl 6 4 2, d = 1.399 Å, rel. 24
- hkl 8 4 0, d = 1.170 Å, rel. 22

For Na2CuBiCl6, a cell relaxed with PBE gives the theoretical powder XRD pattern in this record (Cu Kα (λ = 1.5418 Å)).
Lines closer than 0.1° are merged.

Atomic structure:
Cell lengths 10.3848, 10.3848, 10.3848 Å; angles 90.00, 90.00, 90.00 degrees
Space group Fm-3m (No. 225)
Unique sites:
Na  0.2500  0.2500  0.2500 (multiplicity 8)
Cu  0.0000  0.0000  0.0000 (multiplicity 4)
Bi  0.0000  0.0000  0.5000 (multiplicity 4)
Cl  0.0000  0.0000  0.2386 (multiplicity 24)

The 12 most intense peaks (2θ = 10–90°), sorted by position:
- hkl 1 1 1, d = 5.996 Å, rel. 27
- hkl 2 0 0, d = 5.192 Å, rel. 100
- hkl 2 2 0, d = 3.672 Å, rel. 60
- hkl 3 1 1, d = 3.131 Å, rel. 25
- hkl 4 0 0, d = 2.596 Å, rel. 56
- hkl 3 3 1, d = 2.382 Å, rel. 16
- hkl 4 2 0, d = 2.322 Å, rel. 49
- hkl 4 2 2, d = 2.120 Å, rel. 28
- hkl 4 4 0, d = 1.836 Å, rel. 37
- hkl 6 0 0, d = 1.731 Å, rel. 25
- hkl 6 4 2, d = 1.388 Å, rel. 15
- hkl 8 4 0, d = 1.161 Å, rel. 15

For Cu3Bi2S4Cl, a cell relaxed with PBE gives the theoretical powder XRD pattern in this record (Cu Kα (λ = 1.5418 Å)).
Lines closer than 0.1° are merged.

Atomic structure:
Cell lengths 4.0364, 10.4038, 20.9217 Å; angles 90.00, 90.00, 90.00 degrees
Space group P2_12_12_1 (No. 19)
Unique sites:
Cu  0.0270  0.0229  0.2828 (multiplicity 4)
Cu  0.0828  0.6224  0.3776 (multiplicity 4)
Cu  0.1727  0.7640  0.7123 (multiplicity 4)
Bi  0.0134  0.1920  0.6196 (multiplicity 4)
Bi  0.0989  0.6078  0.5528 (multiplicity 4)
S  0.0068  0.8381  0.3509 (multiplicity 4)
S  0.0127  0.4399  0.3237 (multiplicity 4)
S  0.0171  0.8627  0.5461 (multiplicity 4)
S  0.0284  0.3698  0.7076 (multiplicity 4)
Cl  0.0107  0.1385  0.4486 (multiplicity 4)

The 12 most intense peaks (2θ = 10–90°), sorted by position:
- hkl 0 1 3, d = 5.793 Å, rel. 27
- hkl 0 2 3, d = 4.170 Å, rel. 41
- hkl 1 1 2, d = 3.541 Å, rel. 33
- hkl 1 0 3, d = 3.493 Å, rel. 39
- hkl 0 3 1, d = 3.421 Å, rel. 30
- hkl 0 1 6, d = 3.307 Å, rel. 57
- hkl 1 2 0, d = 3.189 Å, rel. 39
- hkl 1 2 1, d = 3.153 Å, rel. 51
- hkl 1 2 2, d = 3.052 Å, rel. 37
- hkl 1 1 6, d = 2.557 Å, rel. 100
- hkl 0 3 6, d = 2.460 Å, rel. 23
- hkl 1 5 1, d = 1.842 Å, rel. 25

For ErBi2ClO4, a cell relaxed with PBE gives the theoretical powder XRD pattern in this record (Cu Kα (λ = 1.5418 Å)).
Lines closer than 0.1° are merged.

Atomic structure:
Cell lengths 3.8799, 3.8799, 8.9999 Å; angles 90.00, 90.00, 90.00 degrees
Space group P4/mmm (No. 123)
Unique sites:
Er  0.0000  0.0000  0.0000 (multiplicity 1)
Bi  0.5000  0.5000  0.2780 (multiplicity 2)
Cl  0.0000  0.0000  0.5000 (multiplicity 1)
O  0.0000  0.5000  0.1520 (multiplicity 4)

The 12 most intense peaks (2θ = 10–90°), sorted by position:
- hkl 0 0 2, d = 4.500 Å, rel. 9
- hkl 1 0 0, d = 3.880 Å, rel. 12
- hkl 1 0 1, d = 3.563 Å, rel. 19
- hkl 1 0 2, d = 2.938 Å, rel. 100
- hkl 1 1 0, d = 2.744 Å, rel. 36
- hkl 1 1 3, d = 2.025 Å, rel. 16
- hkl 2 0 0, d = 1.940 Å, rel. 20
- hkl 1 1 4, d = 1.740 Å, rel. 20
- hkl 1 0 5, d = 1.633 Å, rel. 11
- hkl 2 1 2, d = 1.619 Å, rel. 35
- hkl 2 1 5, d = 1.249 Å, rel. 9
- hkl 2 1 6, d = 1.135 Å, rel. 10

For K6BiH3Cl8F4, a cell relaxed with PBE gives the theoretical powder XRD pattern in this record (Cu Kα (λ = 1.5418 Å)).
Lines closer than 0.1° are merged.

Atomic structure:
Cell lengths 9.2526, 9.2526, 14.6680 Å; angles 90.00, 90.00, 120.00 degrees
Space group P6_3/mmc (No. 194)
Unique sites:
K  0.0000  0.5000  0.0000 (multiplicity 6)
K  0.1789  0.3578  0.2500 (multiplicity 6)
Bi  0.0000  0.0000  0.0000 (multiplicity 2)
H  0.1566  0.5783  0.7500 (multiplicity 6)
Cl  0.1399  0.2798  0.6074 (multiplicity 12)
Cl  0.3333  0.6667  0.1065 (multiplicity 4)
F  0.0312  0.5156  0.7500 (multiplicity 6)
F  0.3333  0.6667  0.7500 (multiplicity 2)

The 12 most intense peaks (2θ = 10–90°), sorted by position:
- hkl 1 0 0, d = 8.013 Å, rel. 100
- hkl 0 0 2, d = 7.334 Å, rel. 28
- hkl 1 0 2, d = 5.410 Å, rel. 98
- hkl 1 1 2, d = 3.913 Å, rel. 50
- hkl 2 0 2, d = 3.516 Å, rel. 91
- hkl 2 0 3, d = 3.099 Å, rel. 77
- hkl 2 0 4, d = 2.705 Å, rel. 89
- hkl 2 1 4, d = 2.335 Å, rel. 38
- hkl 2 2 0, d = 2.313 Å, rel. 79
- hkl 2 0 6, d = 2.087 Å, rel. 38
- hkl 2 1 6, d = 1.902 Å, rel. 23
- hkl 2 2 8, d = 1.437 Å, rel. 24